(1)
For HoTc2O8, a DFT-relaxed cell (GGA-PBE, OQMD) gives the computed XRD peak list in this record (λ = 1.5418 Å (Cu Kα)).
Intensities are scaled so that the largest is 100.

Cell and atoms:
Cell: 6.6346 6.6346 6.6346 Å, 60.00 60.00 60.00°
Fractional positions:
Ho 0.0000 0.0000 0.0000
Tc 0.2500 0.2500 0.2500
Tc 0.7500 0.7500 0.7500
O 0.1424 0.1424 0.1424
O 0.1424 0.1424 0.5728
O 0.1424 0.5728 0.1424
O 0.4272 0.8576 0.8576
O 0.5728 0.1424 0.1424
O 0.8576 0.4272 0.8576
O 0.8576 0.8576 0.4272
O 0.8576 0.8576 0.8576

Peak list (10 most intense, 2θ = 10–80°, low angle first)
2θ = 16.4°, rel. 62; 2θ = 26.9°, rel. 100; 2θ = 31.6°, rel. 12; 2θ = 38.4°, rel. 9; 2θ = 42.0°, rel. 22; 2θ = 47.5°, rel. 39; 2θ = 55.4°, rel. 20; 2θ = 58.2°, rel. 11; 2θ = 62.6°, rel. 16; 2θ = 75.9°, rel. 21


(2)
For Nb3SI6Br, a DFT-relaxed cell (GGA-PBE, OQMD) gives the computed XRD peak list in this record (λ = 1.5418 Å (Cu Kα)).
Intensities are scaled so that the largest is 100.

Cell and atoms:
Cell: 7.5717 7.5717 7.1037 Å, 90.00 90.00 120.00°
Fractional positions:
Nb 0.2017 0.4035 0.0000
Nb 0.2017 0.7983 0.0000
Nb 0.5965 0.7983 0.0000
S 0.3333 0.6667 0.7610
I 0.3389 0.1695 0.7768
I 0.5028 0.0055 0.2648
I 0.5028 0.4972 0.2648
I 0.8305 0.1695 0.7768
I 0.8305 0.6611 0.7768
I 0.9945 0.4972 0.2648
Br 0.0000 0.0000 0.1782

Peak list (10 most intense, 2θ = 10–80°, low angle first)
2θ = 12.5°, rel. 30; 2θ = 18.4°, rel. 15; 2θ = 25.1°, rel. 13; 2θ = 30.0°, rel. 100; 2θ = 37.3°, rel. 40; 2θ = 47.4°, rel. 25; 2θ = 48.1°, rel. 23; 2θ = 55.0°, rel. 14; 2θ = 57.7°, rel. 14; 2θ = 78.3°, rel. 12